Diffraction record for NiHg2IO6. The powder diffraction line list is computed, not measured: it uses a DFT-relaxed cell (GGA+U, Alexandria) and copper Kα.
Lines closer than 0.1° are merged.

Main lines, low angle first (2θ = 10–80°):
- 22.25 deg, I 237, hkl 0 1 2
- 31.46 deg, I 1000, hkl 1 0 4
- 31.87 deg, I 891, hkl 1 1 0
- 45.39 deg, I 463, hkl 0 2 4
- 55.75 deg, I 202, hkl 0 1 8
- 56.53 deg, I 403, hkl 3 -1 4
- 56.79 deg, I 232, hkl 3 0 0
- 65.67 deg, I 150, hkl 2 0 8
- 74.85 deg, I 178, hkl 1 2 8
- 75.52 deg, I 159, hkl 1 3 4

Structure:
abc: 5.6159 5.6159 14.0215
angles: 90.00 90.00 120.00
Space group R-3 (No. 148, hexagonal axes)
Symmetry-distinct sites (fractional):
1 Ni 0.0000 0.0000 0.0000 (multiplicity 3)
2 Hg 0.0000 0.0000 0.2506 (multiplicity 6)
3 I 0.0000 0.0000 0.5000 (multiplicity 3)
4 O 0.0103 0.4064 0.2490 (multiplicity 18)